No. 1
Simulated powder diffractogram of Tm7AlS5 for Cu Kα X-rays, from a structure optimized by DFT (GGA-PBE).
Intensities are scaled so that the largest is 100.

Peak list (8 most intense, 2θ = 10–80°, in order of falling intensity)
2θ/deg  I_rel
30.59  100
32.37  92
28.86  69
33.55  50
47.03  44
57.53  34
55.93  33
47.47  32

Atomic structure:
```
Tm7AlS5
1.0
6.397 -1.915 0.000
6.397 1.915 0.000
-12.789 0.000 23.001
Tm Al S
14 2 10
direct
0.006 0.006 0.325 Tm
0.144 0.144 0.825 Tm
0.172 0.172 0.035 Tm
0.208 0.208 0.614 Tm
0.232 0.232 0.250 Tm
0.398 0.398 0.535 Tm
0.481 0.481 0.886 Tm
0.519 0.519 0.114 Tm
0.602 0.602 0.465 Tm
0.768 0.768 0.750 Tm
0.792 0.792 0.386 Tm
0.828 0.828 0.965 Tm
0.856 0.856 0.175 Tm
0.994 0.994 0.675 Tm
0.444 0.444 0.750 Al
0.556 0.556 0.250 Al
0.000 0.000 0.500 S
0.155 0.155 0.929 S
0.186 0.186 0.139 S
0.203 0.203 0.429 S
0.408 0.408 0.361 S
0.500 0.500 0.000 S
0.592 0.592 0.639 S
0.797 0.797 0.571 S
0.814 0.814 0.861 S
0.845 0.845 0.071 S
```



No. 2
Simulated powder diffractogram of AlV2S4 for Cu Kα X-rays, from a structure optimized by DFT (GGA-PBE).
Intensities are scaled so that the largest is 100.

Peak list (8 most intense, 2θ = 10–80°, in order of falling intensity)
2θ/deg  I_rel
51.24  100
35.60  99
29.37  74
15.21  43
46.80  35
63.95  19
75.39  15
71.90  13

Atomic structure:
```
AlV2S4
1.0
-3.567 3.567 5.040
3.567 -3.567 5.040
3.567 3.567 -5.040
Al V S
2 4 8
direct
0.375 0.625 0.750 Al
0.625 0.375 0.250 Al
0.000 0.000 0.000 V
0.000 0.000 0.500 V
0.000 0.500 0.000 V
0.500 0.000 0.500 V
0.231 0.244 0.988 S
0.244 0.231 0.488 S
0.244 0.756 0.012 S
0.244 0.756 0.488 S
0.756 0.244 0.512 S
0.756 0.244 0.988 S
0.756 0.769 0.512 S
0.769 0.756 0.012 S
```